(1)
Simulated powder XRD pattern of Na3ZnSb4 for CuKα, from DFT lattice parameters and positions (PBE).
Intensities are scaled so that the largest is 100.

Atomic structure:
Lattice parameters (Å, degrees): 8.1110 8.1110 8.1110 146.90 118.58 71.57
Atoms (fractional coordinates):
Na: 0.0000 0.0000 0.0000
Na: 0.3171 0.8171 0.5000
Na: 0.6829 0.1829 0.5000
Zn: 0.5000 0.5000 0.0000
Sb: 0.1182 0.3924 0.7259
Sb: 0.3335 0.6076 0.7259
Sb: 0.6665 0.3924 0.2741
Sb: 0.8818 0.6076 0.2741

Top 10 peaks for 15° ≤ 2θ ≤ 90°, sorted by position:
| 2θ/deg | I (rel.) |
| --- | --- |
| 20.37 | 100 |
| 21.45 | 27 |
| 27.11 | 18 |
| 29.75 | 53 |
| 34.82 | 41 |
| 35.58 | 26 |
| 38.98 | 23 |
| 39.40 | 24 |
| 45.30 | 31 |
| 53.26 | 23 |


(2)
Simulated powder XRD pattern of V4Mo3W4 for CuKα, from DFT lattice parameters and positions (PBE).
Intensities are scaled so that the largest is 100.

Atomic structure:
Lattice parameters (Å, degrees): 2.7335 4.3745 14.0958 98.86 93.90 90.05
Atoms (fractional coordinates):
V: 0.0495 0.3185 0.1371
V: 0.1442 0.9556 0.4113
V: 0.8558 0.0444 0.5887
V: 0.9505 0.6815 0.8629
Mo: 0.4093 0.8642 0.2284
Mo: 0.5000 0.5000 0.5000
Mo: 0.5907 0.1358 0.7716
W: 0.2298 0.5909 0.6813
W: 0.3178 0.2272 0.9543
W: 0.6822 0.7728 0.0457
W: 0.7702 0.4091 0.3187

Top 10 peaks for 15° ≤ 2θ ≤ 90°, sorted by position:
| 2θ/deg | I (rel.) |
| --- | --- |
| 19.16 | 17 |
| 25.92 | 17 |
| 40.63 | 35 |
| 40.74 | 69 |
| 41.27 | 100 |
| 59.30 | 23 |
| 73.64 | 12 |
| 74.72 | 11 |
| 74.91 | 23 |
| 75.24 | 17 |


(3)
Simulated powder XRD pattern of HoTaRu for CuKα, from DFT lattice parameters and positions (PBE).
Intensities are scaled so that the largest is 100.

Atomic structure:
Lattice parameters (Å, degrees): 5.4812 4.4104 5.5342 90.00 105.30 90.00
Atoms (fractional coordinates):
Ho: 0.2345 0.2500 0.4263
Ho: 0.7655 0.7500 0.5737
Ta: 0.3396 0.7500 0.9651
Ta: 0.6604 0.2500 0.0349
Ru: 0.0966 0.2500 0.8829
Ru: 0.9034 0.7500 0.1171

Top 10 peaks for 15° ≤ 2θ ≤ 90°, sorted by position:
| 2θ/deg | I (rel.) |
| --- | --- |
| 16.61 | 22 |
| 28.73 | 33 |
| 33.38 | 37 |
| 33.63 | 100 |
| 39.50 | 56 |
| 39.75 | 38 |
| 40.93 | 41 |
| 53.80 | 19 |
| 53.94 | 16 |
| 59.45 | 14 |


(4)
Simulated powder XRD pattern of RbGeHSeF for CuKα, from DFT lattice parameters and positions (PBE).
Intensities are scaled so that the largest is 100.

Atomic structure:
Lattice parameters (Å, degrees): 5.1826 4.7072 5.4154 90.00 91.84 90.00
Atoms (fractional coordinates):
Rb: 0.0000 0.0000 0.0000
Ge: 0.3656 0.5000 0.5030
H: 0.0969 0.5000 0.3517
Se: 0.5363 0.0000 0.4876
F: 0.2098 0.5000 0.8135

Top 10 peaks for 15° ≤ 2θ ≤ 90°, sorted by position:
| 2θ/deg | I (rel.) |
| --- | --- |
| 23.39 | 73 |
| 24.16 | 100 |
| 25.57 | 36 |
| 30.21 | 43 |
| 30.82 | 25 |
| 33.10 | 40 |
| 38.24 | 36 |
| 39.72 | 40 |
| 45.31 | 25 |
| 45.75 | 35 |


(5)
Simulated powder XRD pattern of Na6CdHg2 for CuKα, from DFT lattice parameters and positions (PBE).
Intensities are scaled so that the largest is 100.

Atomic structure:
Lattice parameters (Å, degrees): 8.2150 8.2150 11.5182 119.80 119.80 24.30
Atoms (fractional coordinates):
Na: 0.0384 0.0384 0.2350
Na: 0.2240 0.2240 0.6097
Na: 0.3319 0.3319 0.9467
Na: 0.6681 0.6681 0.0533
Na: 0.7760 0.7760 0.3903
Na: 0.9616 0.9616 0.7650
Cd: 0.0000 0.0000 0.5000
Hg: 0.3657 0.3657 0.2401
Hg: 0.6343 0.6343 0.7599

Top 10 peaks for 15° ≤ 2θ ≤ 90°, sorted by position:
| 2θ/deg | I (rel.) |
| --- | --- |
| 17.89 | 63 |
| 19.01 | 49 |
| 22.67 | 85 |
| 29.14 | 91 |
| 30.27 | 65 |
| 32.37 | 100 |
| 34.29 | 56 |
| 35.70 | 67 |
| 36.25 | 67 |
| 39.01 | 61 |


(6)
Simulated powder XRD pattern of Nd6Ge2Se3Cl for CuKα, from DFT lattice parameters and positions (PBE).
Intensities are scaled so that the largest is 100.

Atomic structure:
Lattice parameters (Å, degrees): 9.5103 9.5103 8.5628 102.49 102.49 25.79
Atoms (fractional coordinates):
Nd: 0.0058 0.0058 0.2689
Nd: 0.3274 0.3274 0.9015
Nd: 0.3310 0.3310 0.4212
Nd: 0.6690 0.6690 0.5788
Nd: 0.6726 0.6726 0.0985
Nd: 0.9942 0.9942 0.7311
Ge: 0.1658 0.1658 0.3310
Ge: 0.8342 0.8342 0.6690
Se: 0.1625 0.1625 0.8366
Se: 0.5000 0.5000 0.5000
Se: 0.8375 0.8375 0.1634
Cl: 0.5000 0.5000 0.0000

Top 10 peaks for 15° ≤ 2θ ≤ 90°, sorted by position:
| 2θ/deg | I (rel.) |
| --- | --- |
| 25.66 | 16 |
| 29.64 | 100 |
| 42.25 | 36 |
| 42.58 | 37 |
| 52.74 | 19 |
| 61.54 | 12 |
| 69.54 | 15 |
| 70.01 | 16 |
| 77.75 | 8 |
| 77.93 | 6 |


(7)
Simulated powder XRD pattern of UTlSi2O8 for CuKα, from DFT lattice parameters and positions (PBE).
Intensities are scaled so that the largest is 100.

Atomic structure:
Lattice parameters (Å, degrees): 5.5343 5.5343 8.0206 90.00 90.00 120.00
Atoms (fractional coordinates):
U: 0.0000 0.0000 0.0000
Tl: 0.0000 0.0000 0.5000
Si: 0.3333 0.6667 0.7665
Si: 0.6667 0.3333 0.2335
O: 0.1734 0.3469 0.8442
O: 0.1734 0.8266 0.8442
O: 0.3333 0.6667 0.5648
O: 0.3469 0.1734 0.1558
O: 0.6531 0.8266 0.8442
O: 0.6667 0.3333 0.4352
O: 0.8266 0.1734 0.1558
O: 0.8266 0.6531 0.1558

Top 10 peaks for 15° ≤ 2θ ≤ 90°, sorted by position:
| 2θ/deg | I (rel.) |
| --- | --- |
| 18.51 | 100 |
| 22.17 | 18 |
| 29.03 | 87 |
| 32.35 | 40 |
| 39.57 | 33 |
| 44.02 | 33 |
| 49.26 | 17 |
| 50.37 | 17 |
| 55.68 | 29 |
| 56.69 | 18 |


(8)
Simulated powder XRD pattern of GaAg4 for CuKα, from DFT lattice parameters and positions (PBE).
Intensities are scaled so that the largest is 100.

Atomic structure:
Lattice parameters (Å, degrees): 7.3119 5.6179 8.4527 58.56 40.96 80.49
Atoms (fractional coordinates):
Ga: 0.0000 0.0000 0.0000
Ga: 0.2500 0.2500 0.2500
Ag: 0.1535 0.4716 0.9499
Ag: 0.3001 0.8250 0.0965
Ag: 0.3993 0.6962 0.3998
Ag: 0.4716 0.1535 0.4250
Ag: 0.6962 0.3993 0.5047
Ag: 0.7453 0.8502 0.5538
Ag: 0.8250 0.3001 0.7784
Ag: 0.8502 0.7453 0.8507

Top 10 peaks for 15° ≤ 2θ ≤ 90°, sorted by position:
| 2θ/deg | I (rel.) |
| --- | --- |
| 36.09 | 18 |
| 37.72 | 34 |
| 38.27 | 100 |
| 38.50 | 38 |
| 39.02 | 73 |
| 41.28 | 22 |
| 46.44 | 31 |
| 53.20 | 13 |
| 64.22 | 18 |
| 68.43 | 15 |


(9)
Simulated powder XRD pattern of Li4H5Rh for CuKα, from DFT lattice parameters and positions (PBE).
Intensities are scaled so that the largest is 100.

Atomic structure:
Lattice parameters (Å, degrees): 4.9718 4.9718 9.1257 90.00 90.00 133.22
Atoms (fractional coordinates):
Li: 0.1017 0.8983 0.6059
Li: 0.1017 0.8983 0.8941
Li: 0.3928 0.6072 0.6032
Li: 0.3928 0.6072 0.8968
Li: 0.6072 0.3928 0.1032
Li: 0.6072 0.3928 0.3968
Li: 0.8983 0.1017 0.1059
Li: 0.8983 0.1017 0.3941
H: 0.1158 0.8842 0.1135
H: 0.1158 0.8842 0.3865
H: 0.2484 0.7516 0.7500
H: 0.3887 0.6113 0.1149
H: 0.3887 0.6113 0.3851
H: 0.6113 0.3887 0.6149
H: 0.6113 0.3887 0.8851
H: 0.7516 0.2484 0.2500
H: 0.8842 0.1158 0.6135
H: 0.8842 0.1158 0.8865
Rh: 0.2519 0.7481 0.2500
Rh: 0.7481 0.2519 0.7500

Top 10 peaks for 15° ≤ 2θ ≤ 90°, sorted by position:
| 2θ/deg | I (rel.) |
| --- | --- |
| 19.45 | 100 |
| 26.47 | 90 |
| 27.65 | 49 |
| 38.65 | 84 |
| 44.39 | 28 |
| 48.18 | 14 |
| 50.37 | 15 |
| 56.45 | 24 |
| 63.99 | 15 |
| 65.83 | 16 |


(10)
Simulated powder XRD pattern of Ce5DyRu6 for CuKα, from DFT lattice parameters and positions (PBE).
Intensities are scaled so that the largest is 100.

Atomic structure:
Lattice parameters (Å, degrees): 8.3091 8.3091 4.9697 105.87 105.87 120.80
Atoms (fractional coordinates):
Ce: 0.0000 0.0000 0.0000
Ce: 0.1686 0.8314 0.5000
Ce: 0.3364 0.6636 0.0000
Ce: 0.6636 0.3364 0.0000
Ce: 0.8314 0.1686 0.5000
Dy: 0.5000 0.5000 0.5000
Ru: 0.0694 0.4067 0.2069
Ru: 0.2442 0.2442 0.7677
Ru: 0.4067 0.0694 0.2069
Ru: 0.5933 0.9306 0.7931
Ru: 0.7558 0.7558 0.2323
Ru: 0.9306 0.5933 0.7931

Top 10 peaks for 15° ≤ 2θ ≤ 90°, sorted by position:
| 2θ/deg | I (rel.) |
| --- | --- |
| 36.18 | 100 |
| 37.34 | 32 |
| 37.81 | 61 |
| 53.00 | 22 |
| 53.62 | 11 |
| 64.00 | 11 |
| 66.58 | 11 |
| 67.16 | 11 |
| 67.29 | 10 |
| 67.66 | 11 |


(11)
Simulated powder XRD pattern of Cu3Pt4O12 for CuKα, from DFT lattice parameters and positions (PBE).
Intensities are scaled so that the largest is 100.

Atomic structure:
Lattice parameters (Å, degrees): 6.5201 6.5201 6.5201 109.47 109.47 109.47
Atoms (fractional coordinates):
Cu: 0.0000 0.5000 0.5000
Cu: 0.5000 0.0000 0.5000
Cu: 0.5000 0.5000 0.0000
Pt: 0.0000 0.0000 0.5000
Pt: 0.0000 0.5000 0.0000
Pt: 0.5000 0.0000 0.0000
Pt: 0.5000 0.5000 0.5000
O: 0.1458 0.8187 0.3271
O: 0.1813 0.3271 0.5085
O: 0.1813 0.6729 0.8542
O: 0.3271 0.1458 0.8187
O: 0.3271 0.5085 0.1813
O: 0.4915 0.8187 0.6729
O: 0.5085 0.1813 0.3271
O: 0.6729 0.4915 0.8187
O: 0.6729 0.8542 0.1813
O: 0.8187 0.3271 0.1458
O: 0.8187 0.6729 0.4915
O: 0.8542 0.1813 0.6729

Top 10 peaks for 15° ≤ 2θ ≤ 90°, sorted by position:
| 2θ/deg | I (rel.) |
| --- | --- |
| 23.63 | 47 |
| 33.67 | 100 |
| 41.55 | 11 |
| 48.36 | 22 |
| 54.51 | 23 |
| 60.22 | 46 |
| 70.79 | 12 |
| 75.81 | 9 |
| 80.72 | 18 |
| 85.57 | 7 |


(12)
Simulated powder XRD pattern of Tl2Sn3F8 for CuKα, from DFT lattice parameters and positions (PBE).
Intensities are scaled so that the largest is 100.

Atomic structure:
Lattice parameters (Å, degrees): 6.6374 6.9807 7.1004 71.44 76.22 81.01
Atoms (fractional coordinates):
Tl: 0.0000 0.0000 0.0000
Tl: 0.1419 0.5620 0.6778
Sn: 0.1208 0.2788 0.3153
Sn: 0.5786 0.6065 0.1023
Sn: 0.5974 0.0210 0.5662
F: 0.0269 0.5795 0.3094
F: 0.3683 0.4801 0.0083
F: 0.3709 0.8881 0.5040
F: 0.3931 0.3300 0.4181
F: 0.3982 0.0303 0.8390
F: 0.7194 0.7249 0.7791
F: 0.8048 0.3632 0.0875
F: 0.9848 0.2166 0.6338

Top 10 peaks for 15° ≤ 2θ ≤ 90°, sorted by position:
| 2θ/deg | I (rel.) |
| --- | --- |
| 18.43 | 29 |
| 23.61 | 50 |
| 24.93 | 63 |
| 26.45 | 66 |
| 26.61 | 100 |
| 27.05 | 38 |
| 27.43 | 47 |
| 27.79 | 47 |
| 33.39 | 29 |
| 45.66 | 38 |